# K5As4
Computed powder diffractogram, Cu Ka. Input: DFT lattice parameters and positions (GGA-PBE).
Peak positions follow from Bragg's law for the DFT cell and can differ from measured ones.

Largest 10 diffraction maxima, by angle, 2θ from 5° to 70°:
- (2 0 -1), 2θ 15.2, rel. 37
- (2 0 0), 2θ 16.2, rel. 53
- (1 1 0), 2θ 18.8, rel. 77
- (3 1 -1), 2θ 28.3, rel. 99
- (1 1 2), 2θ 28.5, rel. 100
- (1 1 -3), 2θ 30.8, rel. 58
- (3 1 -3), 2θ 33.8, rel. 70
- (3 1 1), 2θ 34.0, rel. 63
- (0 2 0), 2θ 34.3, rel. 80
- (4 0 1), 2θ 37.4, rel. 41

Atomic structure:
```
data_K5As4
_chemical_formula_sum 'K10 As8'
_cell_length_a 11.8491
_cell_length_b 5.2297
_cell_length_c 10.5157
_cell_angle_alpha 90.00
_cell_angle_beta 112.58
_cell_angle_gamma 90.00
_symmetry_space_group_name_H-M 'C 1 m 1'
_symmetry_Int_Tables_number 8
loop_
_symmetry_equiv_pos_as_xyz
'x,y,z'
'x,-y,z'
'x+1/2,y+1/2,z'
'x+1/2,-y+1/2,z'
loop_
_atom_site_label
_atom_site_fract_x
_atom_site_fract_y
_atom_site_fract_z
K1 0.0000 0.0000 0.0000
K2 0.0101 0.5000 0.3370
K3 0.1517 0.5000 0.7677
K4 0.2417 0.5000 0.1584
K5 0.3663 0.5000 0.5665
As1 0.1639 0.0000 0.5618
As2 0.2168 0.0000 0.3588
As3 0.3024 0.0000 0.9803
As4 0.3552 0.0000 0.7764
```